1.
Tl2Ag2O3: calculated XRD peak list (CuKα), based on the GGA-PBE geometry in Alexandria.
Lines closer than 0.1° are merged.

Structural model:
```
data_Tl2Ag2O3
_chemical_formula_sum 'Tl2 Ag2 O3'
_cell_length_a 3.627
_cell_length_b 6.390
_cell_length_c 6.436
_cell_angle_alpha 109.64
_cell_angle_beta 106.36
_cell_angle_gamma 106.31
_symmetry_space_group_name_H-M 'P -1'
_symmetry_Int_Tables_number 2
_symmetry_space_group_name_Hall '-P 1'
loop_
_atom_site_label
_atom_site_type_symbol
_atom_site_fract_x
_atom_site_fract_y
_atom_site_fract_z
Tl1 Tl 0.241 0.344 0.137
Ag1 Ag 0.238 0.873 0.603
O1 O 0.075 0.373 0.776
O2 O 0.500 0.000 0.000
```

Largest 6 diffraction maxima, in order of rising 2θ, 2θ = 10–90°:
| 2theta | d/Å | I/Imax |
| --- | --- | --- |
| 27.66 | 3.225 | 52 |
| 33.06 | 2.710 | 100 |
| 33.20 | 2.698 | 39 |
| 34.21 | 2.621 | 25 |
| 50.30 | 1.814 | 20 |
| 52.35 | 1.748 | 23 |

=====

2.
TbPmAs: calculated XRD peak list (CuKα), based on the GGA-PBE geometry in Alexandria.
Lines closer than 0.1° are merged.

Structural model:
```
data_TbPmAs
_chemical_formula_sum 'Tb1 Pm1 As1'
_cell_length_a 4.0233
_cell_length_b 4.0233
_cell_length_c 6.6161
_cell_angle_alpha 90.00
_cell_angle_beta 90.00
_cell_angle_gamma 120.00
_symmetry_space_group_name_H-M 'P 3 m 1'
_symmetry_Int_Tables_number 156
_symmetry_space_group_name_Hall 'P 3 -2"'
loop_
_atom_site_label
_atom_site_type_symbol
_atom_site_fract_x
_atom_site_fract_y
_atom_site_fract_z
Tb1 Tb 0.0000 0.0000 0.0000
Pm1 Pm 0.3333 0.6667 0.4816
As1 As 0.6667 0.3333 0.7484
```

Largest 6 diffraction maxima, in order of rising 2θ, 2θ = 10–90°:
| 2theta | d/Å | I/Imax |
| --- | --- | --- |
| 28.96 | 3.083 | 100 |
| 37.49 | 2.399 | 35 |
| 45.07 | 2.012 | 28 |
| 48.88 | 1.863 | 22 |
| 54.46 | 1.685 | 17 |
| 73.29 | 1.292 | 14 |

=====

3.
PrAl4Ag2Au: calculated XRD peak list (CuKα), based on the GGA-PBE geometry in Alexandria.
Lines closer than 0.1° are merged.

Structural model:
```
data_PrAl4Ag2Au
_chemical_formula_sum 'Pr3 Al12 Ag6 Au3'
_cell_length_a 4.4351
_cell_length_b 4.4351
_cell_length_c 27.5916
_cell_angle_alpha 90.00
_cell_angle_beta 90.00
_cell_angle_gamma 120.00
_symmetry_space_group_name_H-M 'R -3 m'
_symmetry_Int_Tables_number 166
_symmetry_space_group_name_Hall '-R 3 2"'
loop_
_atom_site_label
_atom_site_type_symbol
_atom_site_fract_x
_atom_site_fract_y
_atom_site_fract_z
Pr1 Pr 0.0000 0.0000 0.0000
Al1 Al 0.0000 0.0000 0.1261
Al2 Al 0.0000 0.0000 0.4024
Ag1 Ag 0.0000 0.0000 0.2466
Au1 Au 0.0000 0.0000 0.5000
```

Largest 6 diffraction maxima, in order of rising 2θ, 2θ = 10–90°:
| 2theta | d/Å | I/Imax |
| --- | --- | --- |
| 26.56 | 3.356 | 100 |
| 34.96 | 2.566 | 88 |
| 40.69 | 2.218 | 67 |
| 54.70 | 1.678 | 24 |
| 57.76 | 1.596 | 29 |
| 70.36 | 1.338 | 22 |

=====

4.
ZrMnGa: calculated XRD peak list (CuKα), based on the GGA-PBE geometry in Alexandria.
Lines closer than 0.1° are merged.

Structural model:
```
data_ZrMnGa
_chemical_formula_sum 'Zr4 Mn4 Ga4'
_cell_length_a 5.163
_cell_length_b 5.256
_cell_length_c 7.181
_cell_angle_alpha 90.00
_cell_angle_beta 90.00
_cell_angle_gamma 90.00
_symmetry_space_group_name_H-M 'I m m a'
_symmetry_Int_Tables_number 74
_symmetry_space_group_name_Hall '-I 2b 2'
loop_
_atom_site_label
_atom_site_type_symbol
_atom_site_fract_x
_atom_site_fract_y
_atom_site_fract_z
Zr1 Zr 0.000 0.250 0.116
Mn1 Mn 0.250 0.250 0.750
Ga1 Ga 0.000 0.000 0.500
```

Largest 6 diffraction maxima, in order of rising 2θ, 2θ = 10–90°:
| 2theta | d/Å | I/Imax |
| --- | --- | --- |
| 34.90 | 2.571 | 64 |
| 40.51 | 2.227 | 100 |
| 40.93 | 2.205 | 66 |
| 41.45 | 2.179 | 40 |
| 43.16 | 2.096 | 40 |
| 73.69 | 1.286 | 37 |

=====

Question: Which formula does entry 3 have?
Answer: PrAl4Ag2Au